The following is a calculated powder diffraction line list of YCd23Hg6. It was derived from DFT lattice parameters and positions (GGA-PBE), using copper Kα.
Lines closer than 0.1° are merged.

Atomic structure:
Lattice parameters (Å, degrees): 14.2050 14.2050 14.2050 90.00 90.00 90.00
Space group Fm-3m (No. 225)
Asymmetric unit:
Y 0.0000 0.0000 0.0000 x4
Cd 0.0000 0.0000 0.5000 x4
Cd 0.0000 0.2500 0.2500 x24
Cd 0.1229 0.1229 0.3771 x32
Cd 0.1511 0.1511 0.1511 x32
Hg 0.0000 0.0000 0.2220 x24

Top 10 peaks for 2θ = 10–90°, in order of rising 2θ:
2θ (°)  Rel. int.  h k l
28.09  9  4 2 0
30.84  8  4 2 2
32.76  23  3 3 3
35.76  100  4 4 0
38.01  6  6 0 0
49.27  11  5 5 3
51.46  13  8 0 0
62.36  6  9 3 1
64.25  21  8 4 4
68.30  13  7 7 3

---

The following is a calculated powder diffraction line list of Y3Cd3Hg2. It was derived from DFT lattice parameters and positions (GGA-PBE), using copper Kα.
Lines closer than 0.1° are merged.

Atomic structure:
Lattice parameters (Å, degrees): 7.8316 7.8316 3.8779 90.00 90.00 120.00
Space group P-62m (No. 189)
Asymmetric unit:
Y 0.0000 0.3988 0.0000 x3
Cd 0.0000 0.7719 0.5000 x3
Hg 0.3333 0.6667 0.5000 x2

Top 10 peaks for 2θ = 10–90°, in order of rising 2θ:
2θ (°)  Rel. int.  h k l
22.93  25  0 0 1
32.49  100  1 1 1
35.00  62  2 1 0
35.15  47  2 0 1
39.87  27  3 0 0
42.26  34  2 1 1
46.86  18  0 0 2
59.80  26  2 1 2
64.53  16  3 2 1
67.77  29  4 1 1